The following is a computed powder XRD pattern of Bi2O3. It was derived from a DFT-relaxed cell (PBE, the Materials Project), using copper Kα.
Lines closer than 0.1° are merged.

Peak list (6 most intense, 2θ from 5° to 70°, by angle)
two_theta, Rel. int.
26.85, 100
31.11, 42
44.57, 43
52.80, 47
55.34, 13
64.86, 7

Cell and atoms:
Unit cell a=8.1324 b=8.1324 c=8.1324 alpha=60.00 beta=60.00 gamma=60.00
Atoms (fractional coordinates):
Bi: 0.2329 0.7557 0.7557
Bi: 0.2443 0.2443 0.2443
Bi: 0.2443 0.2443 0.7671
Bi: 0.2443 0.7671 0.2443
Bi: 0.7557 0.2329 0.7557
Bi: 0.7557 0.7557 0.2329
Bi: 0.7557 0.7557 0.7557
Bi: 0.7671 0.2443 0.2443
O: 0.0741 0.0741 0.6759
O: 0.0741 0.6759 0.0741
O: 0.0741 0.6759 0.6759
O: 0.3241 0.3241 0.9259
O: 0.3241 0.9259 0.3241
O: 0.3241 0.9259 0.9259
O: 0.6759 0.0741 0.0741
O: 0.6759 0.0741 0.6759
O: 0.6759 0.6759 0.0741
O: 0.9259 0.3241 0.3241
O: 0.9259 0.3241 0.9259
O: 0.9259 0.9259 0.3241